Record 1
# PrDy5Ho5
Calculated PXRD pattern, Cu Kα. Input: DFT lattice parameters and positions (GGA-PBE).

Atomic structure:
```
PrDy5Ho5
1.0
6.061 0.000 0.000
-3.031 5.249 0.000
0.000 0.000 11.553
Pr Dy Ho
1 5 5
direct
0.000 0.000 0.000
0.000 0.000 0.326
0.000 0.000 0.674
0.333 0.667 0.158
0.333 0.667 0.842
0.667 0.333 0.000
0.001 0.501 0.500
0.499 0.501 0.500
0.499 0.999 0.500
0.667 0.333 0.265
0.667 0.333 0.735
```

Top 8 peaks for 2θ = 10–90°, sorted by position:
28.75 deg, I 100; 29.47 deg, I 85; 30.49 deg, I 27; 35.06 deg, I 37; 35.47 deg, I 35; 37.64 deg, I 25; 51.84 deg, I 39; 61.16 deg, I 27

***

Record 2
# PrDy6Ho6
Calculated PXRD pattern, Cu Kα. Input: DFT lattice parameters and positions (GGA-PBE).

Atomic structure:
```
PrDy6Ho6
1.0
6.608 0.000 0.000
-3.304 5.723 0.000
0.000 0.000 11.439
Pr Dy Ho
1 6 6
direct
0.000 0.000 0.000
0.000 0.000 0.351
0.000 0.000 0.649
0.333 0.667 0.000
0.333 0.667 0.500
0.667 0.333 0.000
0.667 0.333 0.500
0.000 0.500 0.245
0.000 0.500 0.755
0.500 0.000 0.245
0.500 0.000 0.755
0.500 0.500 0.245
0.500 0.500 0.755
```

Top 8 peaks for 2θ = 10–90°, sorted by position:
26.99 deg, I 22; 28.12 deg, I 15; 31.26 deg, I 100; 35.07 deg, I 78; 50.43 deg, I 15; 55.65 deg, I 39; 65.22 deg, I 23; 67.49 deg, I 16

***

Record 3
# Pr16Dy6Ho7
Calculated PXRD pattern, Cu Kα. Input: DFT lattice parameters and positions (GGA-PBE).

Atomic structure:
```
Pr16Dy6Ho7
1.0
0.000 8.038 8.038
8.038 0.000 8.038
8.038 8.038 0.000
Pr Dy Ho
16 6 7
direct
0.054 0.649 0.649
0.125 0.125 0.125
0.125 0.125 0.625
0.125 0.625 0.125
0.351 0.351 0.351
0.351 0.351 0.946
0.351 0.946 0.351
0.375 0.875 0.875
0.625 0.125 0.125
0.649 0.054 0.649
0.649 0.649 0.054
0.649 0.649 0.649
0.875 0.375 0.875
0.875 0.875 0.375
0.875 0.875 0.875
0.946 0.351 0.351
0.264 0.264 0.736
0.264 0.736 0.264
0.264 0.736 0.736
0.736 0.264 0.264
0.736 0.264 0.736
0.736 0.736 0.264
0.000 0.000 0.000
0.000 0.000 0.500
0.000 0.500 0.000
0.000 0.500 0.500
0.500 0.000 0.000
0.500 0.000 0.500
0.500 0.500 0.000
```

Top 8 peaks for 2θ = 10–90°, sorted by position:
27.17 deg, I 6; 28.86 deg, I 8; 31.48 deg, I 100; 43.23 deg, I 5; 45.12 deg, I 15; 56.05 deg, I 29; 65.71 deg, I 8; 74.68 deg, I 9

***

Record 4
# Pr3Dy2Ho6
Calculated PXRD pattern, Cu Kα. Input: DFT lattice parameters and positions (GGA-PBE).

Atomic structure:
```
Pr3Dy2Ho6
1.0
2.863 -6.063 0.000
2.863 6.063 0.000
0.000 0.000 10.473
Pr Dy Ho
3 2 6
direct
0.000 0.000 0.000
0.294 0.706 0.000
0.706 0.294 0.000
0.368 0.632 0.500
0.632 0.368 0.500
0.150 0.850 0.304
0.150 0.850 0.696
0.500 0.500 0.213
0.500 0.500 0.787
0.850 0.150 0.304
0.850 0.150 0.696
```

Top 8 peaks for 2θ = 10–90°, sorted by position:
30.70 deg, I 20; 30.89 deg, I 38; 31.24 deg, I 42; 32.04 deg, I 100; 44.37 deg, I 15; 56.11 deg, I 22; 61.96 deg, I 16; 62.95 deg, I 15

***

Record 5
# Pr6Dy2Ho5
Calculated PXRD pattern, Cu Kα. Input: DFT lattice parameters and positions (GGA-PBE).

Atomic structure:
```
Pr6Dy2Ho5
1.0
11.752 0.000 0.000
0.000 20.697 0.000
0.000 0.000 3.638
Pr Dy Ho
12 4 10
direct
0.060 0.080 0.000
0.083 0.367 0.000
0.173 0.634 0.500
0.327 0.134 0.500
0.417 0.867 0.000
0.440 0.580 0.000
0.560 0.420 0.000
0.583 0.133 0.000
0.673 0.866 0.500
0.827 0.366 0.500
0.917 0.633 0.000
0.940 0.920 0.000
0.165 0.789 0.000
0.335 0.289 0.000
0.665 0.711 0.000
0.835 0.211 0.000
0.000 0.500 0.500
0.093 0.226 0.500
0.198 0.944 0.500
0.302 0.444 0.500
0.407 0.726 0.500
0.500 0.000 0.500
0.593 0.274 0.500
0.698 0.556 0.500
0.802 0.056 0.500
0.907 0.774 0.500
```

Top 8 peaks for 2θ = 10–90°, sorted by position:
30.74 deg, I 47; 31.00 deg, I 48; 31.19 deg, I 54; 31.69 deg, I 100; 33.76 deg, I 28; 36.12 deg, I 25; 50.15 deg, I 19; 60.24 deg, I 19

***

Record 6
# Pr4DyHo10
Calculated PXRD pattern, Cu Kα. Input: DFT lattice parameters and positions (GGA-PBE).

Atomic structure:
```
Pr4DyHo10
1.0
-5.645 5.645 3.988
5.645 -5.645 3.988
5.645 5.645 -3.988
Pr Dy Ho
4 1 10
direct
0.227 0.227 0.455
0.227 0.773 0.000
0.773 0.227 0.000
0.773 0.773 0.545
0.000 0.000 0.000
0.086 0.294 0.792
0.250 0.750 0.500
0.294 0.086 0.792
0.294 0.502 0.208
0.498 0.706 0.792
0.502 0.294 0.208
0.706 0.498 0.792
0.706 0.914 0.208
0.750 0.250 0.500
0.914 0.706 0.208
```

Top 8 peaks for 2θ = 10–90°, sorted by position:
27.38 deg, I 25; 30.67 deg, I 27; 31.71 deg, I 100; 33.69 deg, I 35; 34.66 deg, I 16; 40.76 deg, I 33; 45.46 deg, I 19; 67.39 deg, I 17

***

Record 7
# PrDy3Ho6
Calculated PXRD pattern, Cu Kα. Input: DFT lattice parameters and positions (GGA-PBE).

Atomic structure:
```
PrDy3Ho6
1.0
5.504 -9.457 0.000
5.504 9.457 0.000
0.000 0.000 6.181
Pr Dy Ho
2 6 12
direct
0.208 0.792 0.500
0.792 0.208 0.000
0.065 0.283 0.303
0.283 0.065 0.803
0.391 0.609 0.416
0.609 0.391 0.916
0.717 0.935 0.303
0.935 0.717 0.803
0.036 0.458 0.710
0.047 0.953 0.259
0.286 0.714 0.984
0.288 0.382 0.874
0.382 0.288 0.374
0.458 0.036 0.210
0.542 0.964 0.710
0.618 0.712 0.874
0.712 0.618 0.374
0.714 0.286 0.484
0.953 0.047 0.759
0.964 0.542 0.210
```

Top 8 peaks for 2θ = 10–90°, sorted by position:
28.14 deg, I 27; 28.75 deg, I 80; 28.88 deg, I 23; 30.42 deg, I 38; 31.71 deg, I 85; 31.87 deg, I 100; 33.25 deg, I 26; 34.62 deg, I 52

***

Record 8
# PrDy4Ho
Calculated PXRD pattern, Cu Kα. Input: DFT lattice parameters and positions (GGA-PBE).

Atomic structure:
```
PrDy4Ho
1.0
5.036 0.000 0.000
-2.511 5.647 0.000
0.000 -2.250 6.768
Pr Dy Ho
1 4 1
direct
0.000 0.000 0.000
0.332 0.663 0.664
0.334 0.668 0.168
0.666 0.332 0.832
0.668 0.337 0.336
0.000 0.000 0.500
```

Top 8 peaks for 2θ = 10–90°, sorted by position:
30.70 deg, I 100; 35.60 deg, I 51; 51.20 deg, I 24; 51.28 deg, I 12; 60.87 deg, I 21; 60.97 deg, I 21; 83.61 deg, I 12; 86.23 deg, I 7